Structure and simulated X-ray powder pattern of K3MoSe4 (a GGA-PBE-relaxed structure; λ = 1.5418 Å (Cu Kα)).
Kinematic intensities with the Lorentz-polarization factor, no thermal factor.

Crystal structure
a b c (Å): 8.084 8.084 8.084
angles (deg): 93.19 93.19 93.19
Element x y z (fractional)
K: 0.127 0.214 0.659
K: 0.159 0.714 0.627
K: 0.214 0.659 0.127
K: 0.627 0.159 0.714
K: 0.659 0.127 0.214
K: 0.714 0.627 0.159
Mo: 0.156 0.156 0.156
Mo: 0.656 0.656 0.656
Se: 0.018 0.959 0.319
Se: 0.319 0.018 0.959
Se: 0.335 0.335 0.335
Se: 0.459 0.518 0.819
Se: 0.518 0.819 0.459
Se: 0.819 0.459 0.518
Se: 0.835 0.835 0.835
Se: 0.959 0.319 0.018

Main lines, most intense first (2θ = 15–90°):
2theta  I/Imax
15.1  100
26.8  97
32.3  81
16.0  80
49.4  73
28.4  69
30.4  65
26.3  65